(1)
Starting from DFT lattice parameters and positions (PBE), the powder XRD pattern of Pr2SmCu4Pb4 was simulated for Cu Kα X-rays.

Atomic structure:
Cell: 8.7877 8.7877 8.7877 Å, 148.92 132.37 57.97°
Fractional coordinates of all 11 atoms:
Pr 0.1332 0.1332 0.0000
Pr 0.8668 0.8668 0.0000
Sm 0.5000 0.0000 0.5000
Cu 0.1484 0.3313 0.8172
Cu 0.4859 0.6687 0.8172
Cu 0.5141 0.3313 0.1828
Cu 0.8516 0.6687 0.1828
Pb 0.2092 0.5000 0.7093
Pb 0.2843 0.7843 0.5000
Pb 0.7157 0.2157 0.5000
Pb 0.7907 0.5000 0.2908

Principal peaks in the range 10 to 90 degrees two-theta, most intense first:
2θ/deg, I/Imax
32.12, 100
32.61, 91
38.23, 48
43.43, 40
31.71, 25
27.69, 25
25.69, 23
44.45, 21
65.61, 18
73.99, 17

=====

(2)
Starting from DFT lattice parameters and positions (PBE), the powder XRD pattern of PrCuTe3Pb was simulated for Cu Kα X-rays.

Atomic structure:
Cell: 7.6393 7.6393 11.6463 Å, 90.00 90.00 146.88°
Fractional coordinates of all 12 atoms:
Pr 0.0000 0.0000 0.0000
Pr 0.0000 0.0000 0.5000
Cu 0.4689 0.5311 0.7500
Cu 0.5311 0.4689 0.2500
Te 0.0826 0.9174 0.7500
Te 0.3531 0.6469 0.5730
Te 0.3531 0.6469 0.9270
Te 0.6469 0.3531 0.0730
Te 0.6469 0.3531 0.4270
Te 0.9174 0.0826 0.2500
Pb 0.2389 0.7611 0.2500
Pb 0.7611 0.2389 0.7500

Principal peaks in the range 10 to 90 degrees two-theta, most intense first:
2θ/deg, I/Imax
31.51, 100
28.52, 84
40.05, 30
69.48, 30
41.48, 29
25.98, 27
30.71, 24
48.06, 23
27.45, 22
36.05, 21

=====

(3)
Starting from DFT lattice parameters and positions (PBE), the powder XRD pattern of CuPt3Pb5 was simulated for Cu Kα X-rays.

Atomic structure:
Cell: 5.6404 5.6404 8.3925 Å, 90.00 90.00 120.00°
Fractional coordinates of all 9 atoms:
Cu 0.0000 0.0000 0.0000
Pt 0.0000 0.5000 0.5000
Pt 0.5000 0.0000 0.5000
Pt 0.5000 0.5000 0.5000
Pb 0.0000 0.0000 0.5000
Pb 0.3333 0.6667 0.1964
Pb 0.3333 0.6667 0.8036
Pb 0.6667 0.3333 0.1964
Pb 0.6667 0.3333 0.8036

Principal peaks in the range 10 to 90 degrees two-theta, most intense first:
2θ/deg, I/Imax
38.41, 100
42.84, 98
31.73, 66
10.54, 66
31.99, 52
28.03, 36
18.16, 33
75.50, 28
66.28, 28
45.68, 25

=====

(4)
Starting from DFT lattice parameters and positions (PBE), the powder XRD pattern of RbCu3PbSe4 was simulated for Cu Kα X-rays.

Atomic structure:
Cell: 6.4372 6.4372 6.4372 Å, 90.00 90.00 90.00°
Fractional coordinates of all 9 atoms:
Rb 0.0000 0.0000 0.0000
Cu 0.0000 0.5000 0.5000
Cu 0.5000 0.0000 0.5000
Cu 0.5000 0.5000 0.0000
Pb 0.5000 0.5000 0.5000
Se 0.2708 0.2708 0.2708
Se 0.2708 0.7292 0.7292
Se 0.7292 0.2708 0.7292
Se 0.7292 0.7292 0.2708

Principal peaks in the range 10 to 90 degrees two-theta, most intense first:
2θ/deg, I/Imax
39.60, 100
13.76, 53
19.50, 48
23.94, 42
71.85, 30
34.12, 25
46.81, 18
53.24, 17
57.25, 16
42.11, 14

=====

Question: What is the formula in the first record?
Answer: Pr2SmCu4Pb4

=====

What did the third record say?
Starting from DFT lattice parameters and positions (PBE), the powder XRD pattern of CuPt3Pb5 was simulated for Cu Kα X-rays.

Atomic structure:
Cell: 5.6404 5.6404 8.3925 Å, 90.00 90.00 120.00°
Fractional coordinates of all 9 atoms:
Cu 0.0000 0.0000 0.0000
Pt 0.0000 0.5000 0.5000
Pt 0.5000 0.0000 0.5000
Pt 0.5000 0.5000 0.5000
Pb 0.0000 0.0000 0.5000
Pb 0.3333 0.6667 0.1964
Pb 0.3333 0.6667 0.8036
Pb 0.6667 0.3333 0.1964
Pb 0.6667 0.3333 0.8036

Principal peaks in the range 10 to 90 degrees two-theta, most intense first:
2θ/deg, I/Imax
38.41, 100
42.84, 98
31.73, 66
10.54, 66
31.99, 52
28.03, 36
18.16, 33
75.50, 28
66.28, 28
45.68, 25